Structure and computed X-ray diffraction stick pattern of Ta6Co16Si7 (a PBE-relaxed structure; a wavelength of 1.5418 Å).

Most intense lines, 10° ≤ 2θ ≤ 80°, by intensity:
2θ (°), intensity
42.0, 1000
46.0, 649
27.7, 461
39.5, 305
71.7, 236
64.0, 197
35.0, 190
48.9, 179
73.4, 134
59.1, 125

Cell: 7.8971 7.8971 7.8971 Å, 60.00 60.00 60.00°
Sites, in units of the cell vectors:
Ta 0.2022 0.2022 0.7978
Ta 0.2022 0.7978 0.2022
Ta 0.2022 0.7978 0.7978
Ta 0.7978 0.2022 0.2022
Ta 0.7978 0.2022 0.7978
Ta 0.7978 0.7978 0.2022
Co 0.1444 0.6185 0.6185
Co 0.1661 0.1661 0.1661
Co 0.1661 0.1661 0.5016
Co 0.1661 0.5016 0.1661
Co 0.3815 0.3815 0.3815
Co 0.3815 0.3815 0.8556
Co 0.3815 0.8556 0.3815
Co 0.4984 0.8339 0.8339
Co 0.5016 0.1661 0.1661
Co 0.6185 0.1444 0.6185
Co 0.6185 0.6185 0.1444
Co 0.6185 0.6185 0.6185
Co 0.8339 0.4984 0.8339
Co 0.8339 0.8339 0.4984
Co 0.8339 0.8339 0.8339
Co 0.8556 0.3815 0.3815
Si 0.0000 0.0000 0.5000
Si 0.0000 0.5000 0.0000
Si 0.0000 0.5000 0.5000
Si 0.5000 0.0000 0.0000
Si 0.5000 0.0000 0.5000
Si 0.5000 0.5000 0.0000
Si 0.5000 0.5000 0.5000